No. 1
Computed XRD peak list
Compound: ZnW2O4
Radiation: Cu Kα
Structure: a cell relaxed with PBE+U
Neutral-atom scattering factors, no anomalous dispersion.

Crystal structure
abc: 9.727 3.223 10.978
angles: 90.00 90.00 90.00
Element x y z (fractional)
Zn  0.247  0.250  0.148
Zn  0.253  0.750  0.648
Zn  0.747  0.250  0.352
Zn  0.753  0.750  0.852
W  0.045  0.250  0.374
W  0.109  0.250  0.904
W  0.391  0.750  0.404
W  0.455  0.750  0.874
W  0.545  0.250  0.126
W  0.609  0.250  0.596
W  0.891  0.750  0.096
W  0.955  0.750  0.626
O  0.093  0.750  0.776
O  0.101  0.250  0.571
O  0.113  0.750  0.047
O  0.181  0.750  0.327
O  0.319  0.250  0.827
O  0.387  0.250  0.547
O  0.399  0.750  0.071
O  0.407  0.250  0.276
O  0.593  0.750  0.724
O  0.601  0.250  0.929
O  0.613  0.750  0.453
O  0.681  0.750  0.173
O  0.819  0.250  0.673
O  0.887  0.250  0.953
O  0.899  0.750  0.429
O  0.907  0.250  0.224

Top 12 peaks for 2θ = 10–80°, in order of rising 2θ:
| d_spacing | I_rel |
| --- | --- |
| 4.863 | 19.2 |
| 4.780 | 20.6 |
| 3.109 | 20.7 |
| 2.792 | 75.5 |
| 2.744 | 43.0 |
| 2.686 | 37.1 |
| 2.672 | 100.0 |
| 1.940 | 20.7 |
| 1.920 | 28.1 |
| 1.911 | 19.5 |
| 1.715 | 24.1 |
| 1.396 | 20.3 |

---

No. 2
Computed XRD peak list
Compound: ZnWO4
Radiation: Cu Kα
Structure: a cell relaxed with PBE+U
Neutral-atom scattering factors, no anomalous dispersion.

Crystal structure
abc: 7.690 7.690 5.319
angles: 90.00 90.00 123.94
Element x y z (fractional)
Zn  0.077  0.423  0.250
Zn  0.423  0.077  0.750
Zn  0.577  0.923  0.250
Zn  0.923  0.577  0.750
W  0.092  0.908  0.304
W  0.408  0.592  0.804
W  0.592  0.408  0.196
W  0.908  0.092  0.696
O  0.090  0.410  0.750
O  0.094  0.906  0.958
O  0.162  0.162  0.500
O  0.191  0.809  0.559
O  0.309  0.691  0.059
O  0.338  0.338  0.000
O  0.406  0.594  0.458
O  0.410  0.090  0.250
O  0.590  0.910  0.750
O  0.594  0.406  0.542
O  0.662  0.662  0.000
O  0.691  0.309  0.941
O  0.809  0.191  0.441
O  0.838  0.838  0.500
O  0.906  0.094  0.042
O  0.910  0.590  0.250

Top 12 peaks for 2θ = 10–80°, in order of rising 2θ:
| d_spacing | I_rel |
| --- | --- |
| 4.187 | 43.5 |
| 4.086 | 20.0 |
| 3.614 | 19.6 |
| 3.394 | 28.3 |
| 3.190 | 22.8 |
| 2.861 | 50.2 |
| 2.736 | 100.0 |
| 2.660 | 21.6 |
| 2.186 | 22.5 |
| 1.918 | 34.2 |
| 1.807 | 17.9 |
| 1.556 | 20.4 |

---

No. 3
Computed XRD peak list
Compound: ZnW2O4
Radiation: Cu Kα
Structure: a cell relaxed with PBE+U
Neutral-atom scattering factors, no anomalous dispersion.

Crystal structure
abc: 5.475 5.475 10.345
angles: 90.00 90.00 146.39
Element x y z (fractional)
Zn  0.111  0.889  0.750
Zn  0.889  0.111  0.250
W  0.369  0.631  0.573
W  0.369  0.631  0.927
W  0.631  0.369  0.073
W  0.631  0.369  0.427
O  0.000  0.000  0.000
O  0.000  0.000  0.500
O  0.268  0.732  0.113
O  0.268  0.732  0.387
O  0.485  0.515  0.750
O  0.515  0.485  0.250
O  0.732  0.268  0.613
O  0.732  0.268  0.887

Top 12 peaks for 2θ = 10–80°, in order of rising 2θ:
| d_spacing | I_rel |
| --- | --- |
| 5.172 | 27.8 |
| 3.031 | 25.1 |
| 2.909 | 24.4 |
| 2.881 | 100.0 |
| 2.618 | 55.4 |
| 2.346 | 22.0 |
| 2.288 | 21.6 |
| 2.277 | 20.9 |
| 2.137 | 28.3 |
| 1.724 | 19.8 |
| 1.559 | 33.5 |
| 1.387 | 21.9 |

---

No. 4
Computed XRD peak list
Compound: ZnW2O4
Radiation: Cu Kα
Structure: a cell relaxed with PBE+U
Neutral-atom scattering factors, no anomalous dispersion.

Crystal structure
abc: 5.593 6.753 10.559
angles: 73.30 89.71 89.95
Element x y z (fractional)
Zn  0.000  0.000  0.000
Zn  0.168  0.502  0.501
Zn  0.465  0.510  0.002
Zn  0.704  0.001  0.501
W  0.070  0.488  0.770
W  0.073  0.503  0.233
W  0.098  0.004  0.732
W  0.100  0.988  0.268
W  0.584  0.246  0.752
W  0.585  0.746  0.749
W  0.586  0.245  0.249
W  0.586  0.744  0.252
O  0.230  0.186  0.859
O  0.236  0.803  0.142
O  0.253  0.698  0.860
O  0.255  0.297  0.140
O  0.392  0.534  0.651
O  0.393  0.457  0.351
O  0.458  0.946  0.365
O  0.459  0.047  0.636
O  0.710  0.447  0.865
O  0.714  0.546  0.137
O  0.776  0.958  0.850
O  0.779  0.032  0.151
O  0.916  0.195  0.360
O  0.918  0.796  0.639
O  0.936  0.307  0.643
O  0.939  0.687  0.360

Top 12 peaks for 2θ = 10–80°, in order of rising 2θ:
| d_spacing | I_rel |
| --- | --- |
| 5.056 | 100.0 |
| 2.799 | 90.1 |
| 2.757 | 53.2 |
| 2.528 | 24.6 |
| 2.452 | 19.3 |
| 2.442 | 19.1 |
| 2.226 | 35.6 |
| 2.167 | 18.0 |
| 2.160 | 19.7 |
| 1.880 | 12.1 |
| 1.871 | 11.7 |
| 1.615 | 17.5 |

---

No. 5
Computed XRD peak list
Compound: ZnW2O4
Radiation: Cu Kα
Structure: a cell relaxed with PBE+U
Neutral-atom scattering factors, no anomalous dispersion.

Crystal structure
abc: 6.355 6.355 6.355
angles: 120.90 117.36 91.54
Element x y z (fractional)
Zn  0.000  0.000  0.000
Zn  0.500  0.000  0.500
W  0.000  0.000  0.500
W  0.000  0.500  0.000
W  0.402  0.652  0.750
W  0.598  0.348  0.250
O  0.216  0.241  0.975
O  0.233  0.759  0.475
O  0.246  0.234  0.488
O  0.246  0.758  0.012
O  0.754  0.242  0.988
O  0.754  0.766  0.512
O  0.767  0.241  0.525
O  0.784  0.759  0.025

Top 12 peaks for 2θ = 10–80°, in order of rising 2θ:
| d_spacing | I_rel |
| --- | --- |
| 4.433 | 18.6 |
| 3.303 | 27.3 |
| 3.174 | 34.2 |
| 2.776 | 25.3 |
| 2.698 | 100.0 |
| 2.673 | 21.7 |
| 2.649 | 21.9 |
| 1.766 | 30.8 |
| 1.713 | 13.6 |
| 1.652 | 10.2 |
| 1.587 | 30.4 |
| 1.567 | 8.7 |

---

No. 6
Computed XRD peak list
Compound: ZnWO4
Radiation: Cu Kα
Structure: a cell relaxed with PBE+U
Neutral-atom scattering factors, no anomalous dispersion.

Crystal structure
abc: 4.759 5.855 5.018
angles: 90.00 91.81 90.00
Element x y z (fractional)
Zn  0.000  0.178  0.250
Zn  0.000  0.822  0.750
W  0.500  0.326  0.750
W  0.500  0.674  0.250
O  0.242  0.130  0.595
O  0.242  0.870  0.095
O  0.285  0.393  0.065
O  0.285  0.607  0.565
O  0.715  0.393  0.435
O  0.715  0.607  0.935
O  0.758  0.130  0.905
O  0.758  0.870  0.405

Top 12 peaks for 2θ = 10–80°, in order of rising 2θ:
| d_spacing | I_rel |
| --- | --- |
| 4.757 | 40.1 |
| 3.809 | 37.1 |
| 3.692 | 49.5 |
| 3.009 | 100.0 |
| 2.939 | 91.3 |
| 2.928 | 19.0 |
| 2.528 | 36.6 |
| 2.508 | 28.7 |
| 1.806 | 29.0 |
| 1.746 | 19.9 |
| 1.719 | 21.9 |
| 1.452 | 26.2 |

---

No. 7
Computed XRD peak list
Compound: ZnW2O4
Radiation: Cu Kα
Structure: a cell relaxed with PBE+U
Neutral-atom scattering factors, no anomalous dispersion.

Crystal structure
abc: 6.398 6.411 15.560
angles: 88.23 88.73 60.91
Element x y z (fractional)
Zn  0.000  0.000  0.000
Zn  0.015  0.989  0.373
Zn  0.182  0.160  0.202
Zn  0.530  0.493  0.878
Zn  0.695  0.666  0.713
Zn  0.843  0.818  0.538
W  0.029  0.501  0.874
W  0.064  0.030  0.745
W  0.182  0.656  0.205
W  0.338  0.314  0.650
W  0.342  0.328  0.030
W  0.348  0.325  0.458
W  0.350  0.820  0.546
W  0.532  0.990  0.869
W  0.673  0.655  0.098
W  0.674  0.650  0.293
W  0.681  0.157  0.205
W  0.843  0.325  0.545
O  0.007  0.984  0.621
O  0.028  0.002  0.132
O  0.047  0.503  0.116
O  0.165  0.142  0.463
O  0.168  0.685  0.464
O  0.182  0.654  0.948
O  0.190  0.172  0.943
O  0.316  0.828  0.293
O  0.339  0.311  0.269
O  0.356  0.330  0.796
O  0.383  0.805  0.795
O  0.489  0.467  0.117
O  0.526  0.029  0.114
O  0.526  0.498  0.631
O  0.526  0.958  0.630
O  0.665  0.171  0.949
O  0.679  0.659  0.478
O  0.696  0.656  0.945
O  0.709  0.142  0.463
O  0.851  0.293  0.293
O  0.860  0.350  0.799
O  0.860  0.833  0.288
O  0.863  0.801  0.795
O  0.981  0.501  0.629

Top 12 peaks for 2θ = 10–80°, in order of rising 2θ:
| d_spacing | I_rel |
| --- | --- |
| 5.184 | 20.0 |
| 3.201 | 38.0 |
| 3.133 | 23.5 |
| 2.763 | 28.6 |
| 2.746 | 100.0 |
| 2.741 | 22.9 |
| 2.731 | 30.4 |
| 2.708 | 18.6 |
| 2.692 | 34.5 |
| 2.655 | 22.7 |
| 2.637 | 22.7 |
| 1.602 | 23.9 |

---

No. 8
Computed XRD peak list
Compound: ZnW2O5
Radiation: Cu Kα
Structure: a cell relaxed with PBE+U
Neutral-atom scattering factors, no anomalous dispersion.

Crystal structure
abc: 6.031 6.031 10.931
angles: 90.00 90.00 143.31
Element x y z (fractional)
Zn  0.091  0.909  0.750
Zn  0.909  0.091  0.250
W  0.190  0.810  0.123
W  0.190  0.810  0.377
W  0.810  0.190  0.623
W  0.810  0.190  0.877
O  0.033  0.967  0.120
O  0.033  0.967  0.380
O  0.258  0.742  0.588
O  0.258  0.742  0.912
O  0.336  0.664  0.250
O  0.664  0.336  0.750
O  0.742  0.258  0.088
O  0.742  0.258  0.412
O  0.967  0.033  0.620
O  0.967  0.033  0.880

Top 12 peaks for 2θ = 10–80°, in order of rising 2θ:
| d_spacing | I_rel |
| --- | --- |
| 5.725 | 100.0 |
| 5.071 | 27.1 |
| 3.604 | 54.0 |
| 3.423 | 77.2 |
| 3.074 | 57.9 |
| 2.769 | 44.3 |
| 2.733 | 29.3 |
| 2.692 | 44.0 |
| 2.562 | 54.3 |
| 2.466 | 31.2 |
| 1.918 | 37.3 |
| 1.593 | 39.8 |

---

Copy entry 5 word for word.
Computed XRD peak list
Compound: ZnW2O4
Radiation: Cu Kα
Structure: a cell relaxed with PBE+U
Neutral-atom scattering factors, no anomalous dispersion.

Crystal structure
abc: 6.355 6.355 6.355
angles: 120.90 117.36 91.54
Element x y z (fractional)
Zn  0.000  0.000  0.000
Zn  0.500  0.000  0.500
W  0.000  0.000  0.500
W  0.000  0.500  0.000
W  0.402  0.652  0.750
W  0.598  0.348  0.250
O  0.216  0.241  0.975
O  0.233  0.759  0.475
O  0.246  0.234  0.488
O  0.246  0.758  0.012
O  0.754  0.242  0.988
O  0.754  0.766  0.512
O  0.767  0.241  0.525
O  0.784  0.759  0.025

Top 12 peaks for 2θ = 10–80°, in order of rising 2θ:
| d_spacing | I_rel |
| --- | --- |
| 4.433 | 18.6 |
| 3.303 | 27.3 |
| 3.174 | 34.2 |
| 2.776 | 25.3 |
| 2.698 | 100.0 |
| 2.673 | 21.7 |
| 2.649 | 21.9 |
| 1.766 | 30.8 |
| 1.713 | 13.6 |
| 1.652 | 10.2 |
| 1.587 | 30.4 |
| 1.567 | 8.7 |